V6AgO15: computed powder X-ray diffraction pattern (Cu Kα, 1.54184 Å), based on a cell relaxed with PBE+U.
No peak broadening, texture or thermal motion is included.

Top 10 peaks for 15° ≤ 2θ ≤ 90°, most intense first:
28.99°, I = 100
27.50°, I = 82
29.64°, I = 79
18.51°, I = 65
32.11°, I = 62
49.75°, I = 58
25.94°, I = 57
30.45°, I = 54
22.53°, I = 46
44.67°, I = 40

Cell and atoms:
```
22
Lattice="7.894 -1.833 0.000 7.894 1.833 0.000 -3.734 0.000 9.587" Properties=species:S:1:pos:R:3 pbc="T T T"
V 0.000 0.000 0.000
V 1.560 0.000 2.831
V -0.253 0.000 9.466
V 5.630 0.000 7.459
V 7.635 0.000 4.571
V 9.165 0.000 7.411
Ag 12.890 0.000 2.685
O -2.089 0.000 7.955
O 0.225 0.000 4.388
O 1.848 0.000 1.041
O 0.838 0.000 7.795
O 3.073 0.000 3.423
O 4.588 0.000 1.119
O 4.496 0.000 6.328
O 6.148 0.000 3.861
O 4.544 0.000 9.146
O 7.197 0.000 6.355
O 8.920 0.000 3.019
O 7.464 0.000 9.010
O 9.716 0.000 5.867
O 10.613 0.000 8.426
O 15.065 0.000 1.479
```